[1]
# PaCdSbO5
Computed powder diffraction line list, Cu Kα (λ = 1.5418 Å). Input: a GGA-PBE-relaxed structure.
Kinematic intensities with the Lorentz-polarization factor, no thermal factor.

Most intense lines, 2θ from 5° to 70°, low angle first:
| d (Å) | I (rel.) |
| --- | --- |
| 5.718 | 33 |
| 3.882 | 68 |
| 3.709 | 24 |
| 3.671 | 23 |
| 3.580 | 100 |
| 2.859 | 45 |
| 2.841 | 45 |
| 2.761 | 81 |
| 2.153 | 31 |
| 1.866 | 30 |

Structural model:
```
data_PaCdSbO5
_chemical_formula_sum 'Pa2 Cd2 Sb2 O10'
_symmetry_space_group_name_H-M 'P 1'
_symmetry_Int_Tables_number 1
_symmetry_space_group_name_Hall 'P 1'
_cell_length_a 6.1460
_cell_length_b 6.1460
_cell_length_c 8.3123
_cell_angle_alpha 108.68
_cell_angle_beta 108.68
_cell_angle_gamma 93.81
loop_
_atom_site_label
_atom_site_fract_x
_atom_site_fract_y
_atom_site_fract_z
_atom_site_occupancy
Pa1 0.0536 0.9464 0.7500 1
Pa2 0.9464 0.0536 0.2500 1
Cd1 0.0000 0.5000 0.0000 1
Cd2 0.5000 0.0000 0.5000 1
Sb1 0.4268 0.5732 0.7500 1
Sb2 0.5732 0.4268 0.2500 1
O1 0.1697 0.6515 0.8455 1
O2 0.1750 0.8250 0.2500 1
O3 0.1891 0.2540 0.5130 1
O4 0.2540 0.1891 0.0130 1
O5 0.3485 0.8303 0.6545 1
O6 0.6515 0.1697 0.3455 1
O7 0.7460 0.8109 0.9870 1
O8 0.8109 0.7460 0.4870 1
O9 0.8250 0.1750 0.7500 1
O10 0.8303 0.3485 0.1545 1
```

---

[2]
# PaCdSnO6
Computed powder diffraction line list, Cu Kα (λ = 1.5418 Å). Input: a GGA-PBE-relaxed structure.
Kinematic intensities with the Lorentz-polarization factor, no thermal factor.

Most intense lines, 2θ from 5° to 70°, low angle first:
| d (Å) | I (rel.) |
| --- | --- |
| 4.535 | 18 |
| 3.583 | 100 |
| 2.816 | 88 |
| 2.534 | 27 |
| 1.884 | 72 |
| 1.792 | 19 |
| 1.602 | 17 |
| 1.531 | 17 |
| 1.512 | 22 |
| 1.408 | 10 |

Structural model:
```
data_PaCdSnO6
_chemical_formula_sum 'Pa2 Cd2 Sn2 O12'
_symmetry_space_group_name_H-M 'P 1'
_symmetry_Int_Tables_number 1
_symmetry_space_group_name_Hall 'P 1'
_cell_length_a 5.0670
_cell_length_b 5.0670
_cell_length_c 10.1640
_cell_angle_alpha 90.00
_cell_angle_beta 90.00
_cell_angle_gamma 90.00
loop_
_atom_site_label
_atom_site_fract_x
_atom_site_fract_y
_atom_site_fract_z
_atom_site_occupancy
Pa1 0.0000 0.0000 0.0000 1
Pa2 0.5000 0.5000 0.5000 1
Cd1 0.0000 0.0000 0.3315 1
Cd2 0.5000 0.5000 0.8315 1
Sn1 0.0000 0.0000 0.6652 1
Sn2 0.5000 0.5000 0.1652 1
O1 0.1837 0.1837 0.8268 1
O2 0.1957 0.1957 0.5125 1
O3 0.2082 0.2082 0.1546 1
O4 0.2918 0.7082 0.6546 1
O5 0.3043 0.6957 0.0125 1
O6 0.3163 0.6837 0.3268 1
O7 0.6837 0.3163 0.3268 1
O8 0.6957 0.3043 0.0125 1
O9 0.7082 0.2918 0.6546 1
O10 0.7918 0.7918 0.1546 1
O11 0.8043 0.8043 0.5125 1
O12 0.8163 0.8163 0.8268 1
```

---

[3]
# Pa2TlCdO8
Computed powder diffraction line list, Cu Kα (λ = 1.5418 Å). Input: a GGA-PBE-relaxed structure.
Kinematic intensities with the Lorentz-polarization factor, no thermal factor.

Most intense lines, 2θ from 5° to 70°, low angle first:
| d (Å) | I (rel.) |
| --- | --- |
| 4.901 | 7 |
| 3.159 | 100 |
| 2.746 | 24 |
| 2.716 | 12 |
| 1.941 | 17 |
| 1.931 | 32 |
| 1.654 | 31 |
| 1.641 | 15 |
| 1.579 | 11 |
| 1.373 | 5 |

Structural model:
```
data_Pa2TlCdO8
_chemical_formula_sum 'Pa2 Tl1 Cd1 O8'
_symmetry_space_group_name_H-M 'P 1'
_symmetry_Int_Tables_number 1
_symmetry_space_group_name_Hall 'P 1'
_cell_length_a 6.6765
_cell_length_b 6.6765
_cell_length_c 6.6765
_cell_angle_alpha 131.44
_cell_angle_beta 131.44
_cell_angle_gamma 71.12
loop_
_atom_site_label
_atom_site_fract_x
_atom_site_fract_y
_atom_site_fract_z
_atom_site_occupancy
Pa1 0.0000 0.0000 0.0000 1
Pa2 0.7500 0.2500 0.5000 1
Tl1 0.2500 0.7500 0.5000 1
Cd1 0.5000 0.5000 0.0000 1
O1 0.0913 0.0748 0.4540 1
O2 0.1079 0.6129 0.9343 1
O3 0.3627 0.9087 0.9835 1
O4 0.3871 0.3214 0.4950 1
O5 0.6208 0.6373 0.5460 1
O6 0.6786 0.1736 0.0657 1
O7 0.8264 0.8921 0.5050 1
O8 0.9252 0.3792 0.0165 1
```

---

[4]
# Cd2PbO4
Computed powder diffraction line list, Cu Kα (λ = 1.5418 Å). Input: a GGA-PBE-relaxed structure.
Kinematic intensities with the Lorentz-polarization factor, no thermal factor.

Most intense lines, 2θ from 5° to 70°, low angle first:
| d (Å) | I (rel.) |
| --- | --- |
| 5.018 | 29 |
| 2.925 | 95 |
| 2.883 | 31 |
| 2.804 | 44 |
| 2.791 | 100 |
| 2.139 | 15 |
| 2.010 | 47 |
| 1.667 | 33 |
| 1.659 | 16 |
| 1.456 | 23 |

Structural model:
```
data_Cd2PbO4
_chemical_formula_sum 'Cd4 Pb2 O8'
_symmetry_space_group_name_H-M 'P 1'
_symmetry_Int_Tables_number 1
_symmetry_space_group_name_Hall 'P 1'
_cell_length_a 5.7661
_cell_length_b 10.1832
_cell_length_c 3.3587
_cell_angle_alpha 90.00
_cell_angle_beta 90.00
_cell_angle_gamma 90.00
loop_
_atom_site_label
_atom_site_fract_x
_atom_site_fract_y
_atom_site_fract_z
_atom_site_occupancy
Cd1 0.0627 0.1765 0.0000 1
Cd2 0.4373 0.6765 0.0000 1
Cd3 0.5627 0.3235 0.0000 1
Cd4 0.9373 0.8235 0.0000 1
Pb1 0.0000 0.5000 0.5000 1
Pb2 0.5000 0.0000 0.5000 1
O1 0.1371 0.7018 0.5000 1
O2 0.2489 0.4651 0.0000 1
O3 0.2511 0.9651 0.0000 1
O4 0.3629 0.2018 0.5000 1
O5 0.6371 0.7982 0.5000 1
O6 0.7489 0.0349 0.0000 1
O7 0.7511 0.5349 0.0000 1
O8 0.8629 0.2982 0.5000 1
```

---

[5]
# Pu2CdPbO8
Computed powder diffraction line list, Cu Kα (λ = 1.5418 Å). Input: a GGA-PBE-relaxed structure.
Kinematic intensities with the Lorentz-polarization factor, no thermal factor.

Most intense lines, 2θ from 5° to 70°, low angle first:
| d (Å) | I (rel.) |
| --- | --- |
| 4.813 | 8 |
| 3.102 | 100 |
| 2.697 | 24 |
| 2.667 | 12 |
| 1.907 | 17 |
| 1.896 | 33 |
| 1.625 | 31 |
| 1.612 | 15 |
| 1.551 | 10 |
| 1.348 | 5 |

Structural model:
```
data_Pu2CdPbO8
_chemical_formula_sum 'Pu2 Cd1 Pb1 O8'
_symmetry_space_group_name_H-M 'P 1'
_symmetry_Int_Tables_number 1
_symmetry_space_group_name_Hall 'P 1'
_cell_length_a 6.5575
_cell_length_b 6.5575
_cell_length_c 6.5575
_cell_angle_alpha 131.43
_cell_angle_beta 131.43
_cell_angle_gamma 71.13
loop_
_atom_site_label
_atom_site_fract_x
_atom_site_fract_y
_atom_site_fract_z
_atom_site_occupancy
Pu1 0.0000 0.0000 0.0000 1
Pu2 0.7500 0.2500 0.5000 1
Cd1 0.5000 0.5000 0.0000 1
Pb1 0.2500 0.7500 0.5000 1
O1 0.1040 0.1223 0.4777 1
O2 0.1040 0.6263 0.9817 1
O3 0.3737 0.3554 0.4777 1
O4 0.3737 0.8960 0.0183 1
O5 0.6446 0.1223 0.0183 1
O6 0.6446 0.6263 0.5223 1
O7 0.8777 0.3554 0.9817 1
O8 0.8777 0.8960 0.5223 1
```

---

[6]
# PuCdPb2O8
Computed powder diffraction line list, Cu Kα (λ = 1.5418 Å). Input: a GGA-PBE-relaxed structure.
Kinematic intensities with the Lorentz-polarization factor, no thermal factor.

Most intense lines, 2θ from 5° to 70°, low angle first:
| d (Å) | I (rel.) |
| --- | --- |
| 3.677 | 58 |
| 3.633 | 56 |
| 2.832 | 100 |
| 2.584 | 34 |
| 1.915 | 41 |
| 1.903 | 40 |
| 1.640 | 10 |
| 1.628 | 10 |
| 1.535 | 32 |
| 1.416 | 12 |

Structural model:
```
data_PuCdPb2O8
_chemical_formula_sum 'Pu1 Cd1 Pb2 O8'
_symmetry_space_group_name_H-M 'P 1'
_symmetry_Int_Tables_number 1
_symmetry_space_group_name_Hall 'P 1'
_cell_length_a 5.1688
_cell_length_b 5.1688
_cell_length_c 6.7719
_cell_angle_alpha 90.00
_cell_angle_beta 90.00
_cell_angle_gamma 90.70
loop_
_atom_site_label
_atom_site_fract_x
_atom_site_fract_y
_atom_site_fract_z
_atom_site_occupancy
Pu1 0.0000 0.0000 0.0000 1
Cd1 0.0000 0.0000 0.5000 1
Pb1 0.5000 0.5000 0.2519 1
Pb2 0.5000 0.5000 0.7481 1
O1 0.1878 0.8122 0.2138 1
O2 0.1878 0.8122 0.7862 1
O3 0.3015 0.3015 0.0000 1
O4 0.3079 0.3079 0.5000 1
O5 0.6921 0.6921 0.5000 1
O6 0.6985 0.6985 0.0000 1
O7 0.8122 0.1878 0.2138 1
O8 0.8122 0.1878 0.7862 1
```

---

[7]
# CdRhPb2O6
Computed powder diffraction line list, Cu Kα (λ = 1.5418 Å). Input: a GGA-PBE-relaxed structure.
Kinematic intensities with the Lorentz-polarization factor, no thermal factor.

Most intense lines, 2θ from 5° to 70°, low angle first:
| d (Å) | I (rel.) |
| --- | --- |
| 2.964 | 46 |
| 2.912 | 100 |
| 2.881 | 99 |
| 2.813 | 47 |
| 2.056 | 21 |
| 2.040 | 40 |
| 1.701 | 16 |
| 1.689 | 19 |
| 1.648 | 32 |
| 1.631 | 22 |

Structural model:
```
data_CdRhPb2O6
_chemical_formula_sum 'Cd2 Rh2 Pb4 O12'
_symmetry_space_group_name_H-M 'P 1'
_symmetry_Int_Tables_number 1
_symmetry_space_group_name_Hall 'P 1'
_cell_length_a 5.6269
_cell_length_b 5.9275
_cell_length_c 9.8961
_cell_angle_alpha 90.00
_cell_angle_beta 123.81
_cell_angle_gamma 90.00
loop_
_atom_site_label
_atom_site_fract_x
_atom_site_fract_y
_atom_site_fract_z
_atom_site_occupancy
Cd1 0.0000 0.0000 0.0000 1
Cd2 0.0000 0.5000 0.5000 1
Rh1 0.5000 0.0000 0.5000 1
Rh2 0.5000 0.5000 0.0000 1
Pb1 0.2205 0.0421 0.7312 1
Pb2 0.2205 0.4579 0.2312 1
Pb3 0.7795 0.5421 0.7688 1
Pb4 0.7795 0.9579 0.2688 1
O1 0.1618 0.1712 0.4640 1
O2 0.1618 0.3288 0.9640 1
O3 0.2352 0.7303 0.4123 1
O4 0.2352 0.7697 0.9123 1
O5 0.3937 0.0813 0.2756 1
O6 0.3937 0.4187 0.7756 1
O7 0.6063 0.5813 0.2244 1
O8 0.6063 0.9187 0.7244 1
O9 0.7648 0.2303 0.0877 1
O10 0.7648 0.2697 0.5877 1
O11 0.8382 0.6712 0.0360 1
O12 0.8382 0.8288 0.5360 1
```

---

[8]
# Cd2RuPbO8
Computed powder diffraction line list, Cu Kα (λ = 1.5418 Å). Input: a GGA-PBE-relaxed structure.
Kinematic intensities with the Lorentz-polarization factor, no thermal factor.

Most intense lines, 2θ from 5° to 70°, low angle first:
| d (Å) | I (rel.) |
| --- | --- |
| 3.639 | 65 |
| 3.429 | 52 |
| 2.788 | 100 |
| 2.503 | 15 |
| 2.489 | 14 |
| 1.893 | 21 |
| 1.889 | 22 |
| 1.831 | 18 |
| 1.827 | 18 |
| 1.494 | 11 |

Structural model:
```
data_Cd2RuPbO8
_chemical_formula_sum 'Cd2 Ru1 Pb1 O8'
_symmetry_space_group_name_H-M 'P 1'
_symmetry_Int_Tables_number 1
_symmetry_space_group_name_Hall 'P 1'
_cell_length_a 4.9864
_cell_length_b 6.7213
_cell_length_c 5.0139
_cell_angle_alpha 90.00
_cell_angle_beta 93.41
_cell_angle_gamma 90.00
loop_
_atom_site_label
_atom_site_fract_x
_atom_site_fract_y
_atom_site_fract_z
_atom_site_occupancy
Cd1 0.0000 0.2424 0.0000 1
Cd2 0.0000 0.7576 0.0000 1
Ru1 0.5000 0.0000 0.5000 1
Pb1 0.5000 0.5000 0.5000 1
O1 0.2027 0.5000 0.1982 1
O2 0.2272 0.0000 0.2236 1
O3 0.3197 0.2078 0.6758 1
O4 0.3197 0.7922 0.6758 1
O5 0.6803 0.2078 0.3242 1
O6 0.6803 0.7922 0.3242 1
O7 0.7728 0.0000 0.7764 1
O8 0.7973 0.5000 0.8018 1
```

---

[9]
# Cd2SnPbO6
Computed powder diffraction line list, Cu Kα (λ = 1.5418 Å). Input: a GGA-PBE-relaxed structure.
Kinematic intensities with the Lorentz-polarization factor, no thermal factor.

Most intense lines, 2θ from 5° to 70°, low angle first:
| d (Å) | I (rel.) |
| --- | --- |
| 5.219 | 14 |
| 3.117 | 100 |
| 2.748 | 37 |
| 2.610 | 10 |
| 2.167 | 14 |
| 1.943 | 21 |
| 1.892 | 24 |
| 1.649 | 32 |
| 1.588 | 9 |
| 1.559 | 9 |

Structural model:
```
data_Cd2SnPbO6
_chemical_formula_sum 'Cd2 Sn1 Pb1 O6'
_symmetry_space_group_name_H-M 'P 1'
_symmetry_Int_Tables_number 1
_symmetry_space_group_name_Hall 'P 1'
_cell_length_a 5.4964
_cell_length_b 5.4964
_cell_length_c 5.2193
_cell_angle_alpha 90.00
_cell_angle_beta 90.00
_cell_angle_gamma 90.00
loop_
_atom_site_label
_atom_site_fract_x
_atom_site_fract_y
_atom_site_fract_z
_atom_site_occupancy
Cd1 0.0000 0.5000 0.0000 1
Cd2 0.5000 0.0000 0.0000 1
Sn1 0.0000 0.0000 0.5970 1
Pb1 0.5000 0.5000 0.5786 1
O1 0.0000 0.0000 0.2202 1
O2 0.2454 0.2454 0.7499 1
O3 0.2454 0.7546 0.7499 1
O4 0.5000 0.5000 0.1851 1
O5 0.7546 0.2454 0.7499 1
O6 0.7546 0.7546 0.7499 1
```

---

[10]
# CdTePbO5
Computed powder diffraction line list, Cu Kα (λ = 1.5418 Å). Input: a GGA-PBE-relaxed structure.
Kinematic intensities with the Lorentz-polarization factor, no thermal factor.

Most intense lines, 2θ from 5° to 70°, low angle first:
| d (Å) | I (rel.) |
| --- | --- |
| 5.552 | 33 |
| 3.860 | 100 |
| 3.591 | 97 |
| 2.828 | 49 |
| 2.814 | 46 |
| 2.702 | 72 |
| 2.618 | 25 |
| 2.151 | 30 |
| 1.882 | 26 |
| 1.851 | 43 |

Structural model:
```
data_CdTePbO5
_chemical_formula_sum 'Cd2 Te2 Pb2 O10'
_symmetry_space_group_name_H-M 'P 1'
_symmetry_Int_Tables_number 1
_symmetry_space_group_name_Hall 'P 1'
_cell_length_a 6.0424
_cell_length_b 6.0424
_cell_length_c 8.4087
_cell_angle_alpha 109.00
_cell_angle_beta 109.00
_cell_angle_gamma 92.77
loop_
_atom_site_label
_atom_site_fract_x
_atom_site_fract_y
_atom_site_fract_z
_atom_site_occupancy
Cd1 0.0525 0.9475 0.7500 1
Cd2 0.9475 0.0525 0.2500 1
Te1 0.4340 0.5660 0.7500 1
Te2 0.5660 0.4340 0.2500 1
Pb1 0.0000 0.5000 0.0000 1
Pb2 0.5000 0.0000 0.5000 1
O1 0.1923 0.6456 0.8500 1
O2 0.2049 0.7951 0.2500 1
O3 0.2437 0.2470 0.0246 1
O4 0.2470 0.2437 0.5246 1
O5 0.3544 0.8077 0.6500 1
O6 0.6456 0.1923 0.3500 1
O7 0.7530 0.7563 0.4754 1
O8 0.7563 0.7530 0.9754 1
O9 0.7951 0.2049 0.7500 1
O10 0.8077 0.3544 0.1500 1
```

---

[11]
# Zn2Cd2PbO6
Computed powder diffraction line list, Cu Kα (λ = 1.5418 Å). Input: a GGA-PBE-relaxed structure.
Kinematic intensities with the Lorentz-polarization factor, no thermal factor.

Most intense lines, 2θ from 5° to 70°, low angle first:
| d (Å) | I (rel.) |
| --- | --- |
| 5.340 | 47 |
| 3.586 | 35 |
| 2.794 | 100 |
| 2.670 | 24 |
| 2.475 | 48 |
| 1.930 | 95 |
| 1.613 | 30 |
| 1.544 | 10 |
| 1.397 | 12 |
| 1.381 | 20 |

Structural model:
```
data_Zn2Cd2PbO6
_chemical_formula_sum 'Zn2 Cd2 Pb1 O6'
_symmetry_space_group_name_H-M 'P 1'
_symmetry_Int_Tables_number 1
_symmetry_space_group_name_Hall 'P 1'
_cell_length_a 5.5875
_cell_length_b 5.5875
_cell_length_c 5.3398
_cell_angle_alpha 90.00
_cell_angle_beta 90.00
_cell_angle_gamma 120.00
loop_
_atom_site_label
_atom_site_fract_x
_atom_site_fract_y
_atom_site_fract_z
_atom_site_occupancy
Zn1 0.3333 0.6667 0.0000 1
Zn2 0.6667 0.3333 0.0000 1
Cd1 0.3333 0.6667 0.5000 1
Cd2 0.6667 0.3333 0.5000 1
Pb1 0.0000 0.0000 0.5000 1
O1 0.0000 0.3374 0.7592 1
O2 0.0000 0.6626 0.2408 1
O3 0.3374 0.0000 0.7592 1
O4 0.3374 0.3374 0.2408 1
O5 0.6626 0.0000 0.2408 1
O6 0.6626 0.6626 0.7592 1
```

---

[12]
# Cd2PdRuO6
Computed powder diffraction line list, Cu Kα (λ = 1.5418 Å). Input: a GGA-PBE-relaxed structure.
Kinematic intensities with the Lorentz-polarization factor, no thermal factor.

Most intense lines, 2θ from 5° to 70°, low angle first:
| d (Å) | I (rel.) |
| --- | --- |
| 4.435 | 12 |
| 2.928 | 100 |
| 2.756 | 45 |
| 2.217 | 9 |
| 1.949 | 27 |
| 1.927 | 13 |
| 1.728 | 20 |
| 1.622 | 34 |
| 1.464 | 10 |
| 1.378 | 8 |

Structural model:
```
data_Cd2PdRuO6
_chemical_formula_sum 'Cd2 Pd1 Ru1 O6'
_symmetry_space_group_name_H-M 'P 1'
_symmetry_Int_Tables_number 1
_symmetry_space_group_name_Hall 'P 1'
_cell_length_a 5.5123
_cell_length_b 5.5123
_cell_length_c 4.4348
_cell_angle_alpha 90.00
_cell_angle_beta 90.00
_cell_angle_gamma 90.00
loop_
_atom_site_label
_atom_site_fract_x
_atom_site_fract_y
_atom_site_fract_z
_atom_site_occupancy
Cd1 0.0000 0.5000 0.0000 1
Cd2 0.5000 0.0000 0.0000 1
Pd1 0.0000 0.0000 0.6050 1
Ru1 0.5000 0.5000 0.5753 1
O1 0.0000 0.0000 0.1359 1
O2 0.2636 0.2636 0.6985 1
O3 0.2636 0.7364 0.6985 1
O4 0.5000 0.5000 0.1711 1
O5 0.7364 0.2636 0.6985 1
O6 0.7364 0.7364 0.6985 1
```

---

[13]
# CdSb2PdO8
Computed powder diffraction line list, Cu Kα (λ = 1.5418 Å). Input: a GGA-PBE-relaxed structure.
Kinematic intensities with the Lorentz-polarization factor, no thermal factor.

Most intense lines, 2θ from 5° to 70°, low angle first:
| d (Å) | I (rel.) |
| --- | --- |
| 6.131 | 64 |
| 3.762 | 48 |
| 3.065 | 20 |
| 2.751 | 100 |
| 2.578 | 40 |
| 2.221 | 19 |
| 2.047 | 50 |
| 1.880 | 38 |
| 1.588 | 26 |
| 1.552 | 29 |

Structural model:
```
data_CdSb2PdO8
_chemical_formula_sum 'Cd1 Sb2 Pd1 O8'
_symmetry_space_group_name_H-M 'P 1'
_symmetry_Int_Tables_number 1
_symmetry_space_group_name_Hall 'P 1'
_cell_length_a 5.5017
_cell_length_b 5.5017
_cell_length_c 6.1309
_cell_angle_alpha 90.00
_cell_angle_beta 90.00
_cell_angle_gamma 120.00
loop_
_atom_site_label
_atom_site_fract_x
_atom_site_fract_y
_atom_site_fract_z
_atom_site_occupancy
Cd1 0.0000 0.0000 0.0000 1
Sb1 0.3333 0.6667 0.4071 1
Sb2 0.6667 0.3333 0.5929 1
Pd1 0.0000 0.0000 0.5000 1
O1 0.0673 0.3587 0.6446 1
O2 0.2913 0.9327 0.6446 1
O3 0.3333 0.6667 0.0957 1
O4 0.3587 0.2913 0.3554 1
O5 0.6413 0.7087 0.6446 1
O6 0.6667 0.3333 0.9043 1
O7 0.7087 0.0673 0.3554 1
O8 0.9327 0.6413 0.3554 1
```